Entry 1:
TiNb3Rh: computed PXRD pattern (Cu Kα X-rays), based on a DFT-relaxed cell (GGA-PBE, Alexandria).

Main lines, in order of rising 2θ (2θ = 10–90°):
| Position (°2θ) | I_rel |
| --- | --- |
| 33.36 | 24 |
| 38.20 | 100 |
| 38.43 | 81 |
| 40.38 | 70 |
| 46.76 | 16 |
| 55.46 | 20 |
| 58.12 | 14 |
| 69.40 | 17 |
| 71.87 | 15 |
| 81.24 | 21 |

a = 7.336 Å, b = 7.336 Å, c = 7.336 Å
α = 158.48°, β = 142.79°, γ = 43.39°
Atoms (fractional coordinates):
Ti: 0.000 0.000 0.000
Nb: 0.191 0.691 0.500
Nb: 0.398 0.398 0.000
Nb: 0.789 0.289 0.500
Rh: 0.587 0.587 0.000



Entry 2:
MgB12C2: computed PXRD pattern (Cu Kα X-rays), based on a DFT-relaxed cell (GGA-PBE, Alexandria).

Main lines, in order of rising 2θ (2θ = 10–90°):
| Position (°2θ) | I_rel |
| --- | --- |
| 26.60 | 70 |
| 31.87 | 21 |
| 36.87 | 99 |
| 39.11 | 40 |
| 42.00 | 100 |
| 44.00 | 52 |
| 47.70 | 25 |
| 60.61 | 35 |
| 73.91 | 29 |
| 74.53 | 47 |

a = 6.909 Å, b = 6.909 Å, c = 6.909 Å
α = 132.04°, β = 89.41°, γ = 109.91°
Atoms (fractional coordinates):
Mg: 0.390 0.140 0.250
Mg: 0.610 0.860 0.750
B: 0.033 0.187 0.324
B: 0.033 0.709 0.846
B: 0.088 0.682 0.406
B: 0.187 0.520 0.667
B: 0.224 0.499 0.402
B: 0.224 0.822 0.725
B: 0.225 0.318 0.906
B: 0.354 0.520 0.833
B: 0.363 0.187 0.654
B: 0.363 0.709 0.176
B: 0.404 0.178 0.902
B: 0.404 0.501 0.225
B: 0.596 0.499 0.775
B: 0.596 0.822 0.098
B: 0.637 0.291 0.824
B: 0.637 0.813 0.346
B: 0.646 0.480 0.167
B: 0.775 0.682 0.094
B: 0.776 0.178 0.275
B: 0.776 0.501 0.598
B: 0.813 0.480 0.333
B: 0.912 0.318 0.594
B: 0.967 0.291 0.154
B: 0.967 0.813 0.676
C: 0.033 0.871 0.163
C: 0.208 0.871 0.337
C: 0.792 0.129 0.663
C: 0.967 0.129 0.837



Entry 3:
Hf3CdH: computed PXRD pattern (Cu Kα X-rays), based on a DFT-relaxed cell (GGA-PBE, Alexandria).

Main lines, in order of rising 2θ (2θ = 10–90°):
| Position (°2θ) | I_rel |
| --- | --- |
| 34.80 | 100 |
| 36.89 | 20 |
| 38.74 | 19 |
| 45.19 | 12 |
| 54.57 | 14 |
| 59.70 | 10 |
| 61.00 | 10 |
| 65.12 | 14 |
| 67.60 | 15 |
| 73.47 | 10 |

a = 9.390 Å, b = 9.390 Å, c = 4.648 Å
α = 90.00°, β = 90.00°, γ = 117.47°
Atoms (fractional coordinates):
Hf: 0.070 0.201 0.500
Hf: 0.081 0.693 0.000
Hf: 0.201 0.070 0.000
Hf: 0.296 0.433 0.000
Hf: 0.307 0.919 0.500
Hf: 0.433 0.296 0.500
Hf: 0.567 0.704 0.500
Hf: 0.693 0.081 0.500
Hf: 0.704 0.567 0.000
Hf: 0.799 0.930 0.000
Hf: 0.919 0.307 0.000
Hf: 0.930 0.799 0.500
Cd: 0.175 0.550 0.500
Cd: 0.450 0.825 0.000
Cd: 0.550 0.175 0.000
Cd: 0.825 0.450 0.500
H: 0.000 0.000 0.250
H: 0.000 0.000 0.750
H: 0.500 0.500 0.250
H: 0.500 0.500 0.750



Entry 4:
RbInAuCl6: computed PXRD pattern (Cu Kα X-rays), based on a DFT-relaxed cell (GGA-PBE, Alexandria).

Main lines, in order of rising 2θ (2θ = 10–90°):
| Position (°2θ) | I_rel |
| --- | --- |
| 12.22 | 100 |
| 18.16 | 61 |
| 19.82 | 50 |
| 20.11 | 59 |
| 26.15 | 30 |
| 26.93 | 31 |
| 30.21 | 39 |
| 32.96 | 33 |
| 37.68 | 51 |
| 44.50 | 30 |

a = 6.670 Å, b = 6.676 Å, c = 7.280 Å
α = 93.25°, β = 93.37°, γ = 113.23°
Atoms (fractional coordinates):
Rb: 0.000 0.000 0.000
In: 0.653 0.346 0.500
Au: 0.305 0.694 0.500
Cl: 0.346 0.043 0.668
Cl: 0.349 0.409 0.295
Cl: 0.591 0.650 0.704
Cl: 0.628 0.065 0.258
Cl: 0.936 0.370 0.740
Cl: 0.956 0.654 0.331



Entry 5:
TiPd3Pt6: computed PXRD pattern (Cu Kα X-rays), based on a DFT-relaxed cell (GGA-PBE, Alexandria).

Main lines, in order of rising 2θ (2θ = 10–90°):
| Position (°2θ) | I_rel |
| --- | --- |
| 22.54 | 6 |
| 39.43 | 100 |
| 45.44 | 17 |
| 46.06 | 32 |
| 66.73 | 16 |
| 67.18 | 10 |
| 79.84 | 6 |
| 80.71 | 11 |
| 80.86 | 13 |
| 84.87 | 11 |

a = 8.838 Å, b = 3.937 Å, c = 8.911 Å
α = 90.00°, β = 90.50°, γ = 90.00°
Atoms (fractional coordinates):
Ti: 0.061 0.250 0.383
Ti: 0.939 0.750 0.617
Pd: 0.250 0.250 0.993
Pd: 0.349 0.750 0.794
Pd: 0.450 0.250 0.600
Pd: 0.550 0.750 0.400
Pd: 0.651 0.250 0.206
Pd: 0.750 0.750 0.007
Pt: 0.049 0.750 0.896
Pt: 0.136 0.250 0.687
Pt: 0.151 0.750 0.203
Pt: 0.235 0.750 0.498
Pt: 0.347 0.250 0.301
Pt: 0.448 0.750 0.098
Pt: 0.552 0.250 0.902
Pt: 0.653 0.750 0.699
Pt: 0.765 0.250 0.502
Pt: 0.849 0.250 0.797
Pt: 0.864 0.750 0.313
Pt: 0.951 0.250 0.104



Entry 6:
Ga5CoPd2: computed PXRD pattern (Cu Kα X-rays), based on a DFT-relaxed cell (GGA-PBE, Alexandria).

Main lines, in order of rising 2θ (2θ = 10–90°):
| Position (°2θ) | I_rel |
| --- | --- |
| 31.34 | 54 |
| 38.88 | 69 |
| 41.39 | 100 |
| 42.45 | 25 |
| 45.37 | 53 |
| 50.77 | 27 |
| 58.92 | 18 |
| 72.11 | 18 |
| 74.13 | 25 |
| 87.00 | 17 |

a = 6.004 Å, b = 6.004 Å, c = 9.989 Å
α = 90.00°, β = 90.00°, γ = 134.62°
Atoms (fractional coordinates):
Ga: 0.040 0.960 0.616
Ga: 0.040 0.960 0.884
Ga: 0.370 0.630 0.250
Ga: 0.390 0.610 0.603
Ga: 0.390 0.610 0.897
Ga: 0.610 0.390 0.103
Ga: 0.610 0.390 0.397
Ga: 0.630 0.370 0.750
Ga: 0.960 0.040 0.116
Ga: 0.960 0.040 0.384
Co: 0.214 0.786 0.750
Co: 0.786 0.214 0.250
Pd: 0.201 0.799 0.075
Pd: 0.201 0.799 0.425
Pd: 0.799 0.201 0.575
Pd: 0.799 0.201 0.925



Entry 7:
Sm5Dy3Y4: computed PXRD pattern (Cu Kα X-rays), based on a DFT-relaxed cell (GGA-PBE, Alexandria).

Main lines, in order of rising 2θ (2θ = 10–90°):
| Position (°2θ) | I_rel |
| --- | --- |
| 28.73 | 30 |
| 29.18 | 23 |
| 29.40 | 30 |
| 30.17 | 100 |
| 31.07 | 49 |
| 31.56 | 42 |
| 32.28 | 83 |
| 32.70 | 24 |
| 33.57 | 74 |
| 43.86 | 38 |

a = 8.651 Å, b = 8.651 Å, c = 9.352 Å
α = 115.24°, β = 115.24°, γ = 40.05°
Atoms (fractional coordinates):
Sm: 0.000 0.000 0.000
Sm: 0.326 0.326 0.615
Sm: 0.424 0.424 0.299
Sm: 0.576 0.576 0.701
Sm: 0.674 0.674 0.385
Dy: 0.209 0.209 0.230
Dy: 0.500 0.500 0.000
Dy: 0.791 0.791 0.770
Y: 0.080 0.080 0.437
Y: 0.215 0.215 0.878
Y: 0.785 0.785 0.122
Y: 0.920 0.920 0.563



Entry 8:
Rb2TeI6: computed PXRD pattern (Cu Kα X-rays), based on a DFT-relaxed cell (GGA-PBE, Alexandria).

Main lines, in order of rising 2θ (2θ = 10–90°):
| Position (°2θ) | I_rel |
| --- | --- |
| 12.94 | 19 |
| 24.35 | 19 |
| 26.04 | 100 |
| 28.27 | 25 |
| 28.54 | 43 |
| 30.94 | 50 |
| 42.59 | 40 |
| 48.14 | 15 |
| 49.04 | 16 |
| 68.19 | 13 |

a = 8.175 Å, b = 8.175 Å, c = 12.512 Å
α = 90.00°, β = 90.00°, γ = 90.00°
Atoms (fractional coordinates):
Rb: 0.000 0.500 0.250
Rb: 0.000 0.500 0.750
Rb: 0.500 0.000 0.250
Rb: 0.500 0.000 0.750
Te: 0.000 0.000 0.000
Te: 0.500 0.500 0.500
I: 0.000 0.000 0.238
I: 0.000 0.000 0.762
I: 0.198 0.297 0.500
I: 0.203 0.302 0.000
I: 0.297 0.802 0.500
I: 0.302 0.797 0.000
I: 0.500 0.500 0.262
I: 0.500 0.500 0.738
I: 0.698 0.203 0.000
I: 0.703 0.198 0.500
I: 0.797 0.698 0.000
I: 0.802 0.703 0.500



Entry 9:
Al4FeSb: computed PXRD pattern (Cu Kα X-rays), based on a DFT-relaxed cell (GGA-PBE, Alexandria).

Main lines, in order of rising 2θ (2θ = 10–90°):
| Position (°2θ) | I_rel |
| --- | --- |
| 20.45 | 37 |
| 23.66 | 11 |
| 33.71 | 74 |
| 39.75 | 100 |
| 41.60 | 13 |
| 60.28 | 26 |
| 64.36 | 31 |
| 70.88 | 21 |
| 80.82 | 11 |
| 84.47 | 11 |

a = 5.318 Å, b = 5.318 Å, c = 5.318 Å
α = 60.00°, β = 60.00°, γ = 60.00°
Atoms (fractional coordinates):
Al: 0.376 0.376 0.376
Al: 0.376 0.376 0.872
Al: 0.376 0.872 0.376
Al: 0.872 0.376 0.376
Fe: 0.750 0.750 0.750
Sb: 0.000 0.000 0.000



Entry 10:
K2Hf3MnS8: computed PXRD pattern (Cu Kα X-rays), based on a DFT-relaxed cell (GGA-PBE, Alexandria).

Main lines, in order of rising 2θ (2θ = 10–90°):
| Position (°2θ) | I_rel |
| --- | --- |
| 11.13 | 100 |
| 22.38 | 12 |
| 28.11 | 25 |
| 28.87 | 10 |
| 31.72 | 44 |
| 38.59 | 25 |
| 41.39 | 17 |
| 49.28 | 16 |
| 50.69 | 13 |
| 50.87 | 10 |

a = 9.021 Å, b = 9.021 Å, c = 9.021 Å
α = 48.40°, β = 48.40°, γ = 48.40°
Atoms (fractional coordinates):
K: 0.000 0.000 0.000
K: 0.349 0.349 0.349
Hf: 0.353 0.353 0.846
Hf: 0.353 0.846 0.353
Hf: 0.846 0.353 0.353
Mn: 0.845 0.845 0.845
S: 0.079 0.079 0.570
S: 0.079 0.570 0.079
S: 0.125 0.125 0.125
S: 0.130 0.619 0.619
S: 0.570 0.079 0.079
S: 0.579 0.579 0.579
S: 0.619 0.130 0.619
S: 0.619 0.619 0.130



Entry 11:
La2ErCd2: computed PXRD pattern (Cu Kα X-rays), based on a DFT-relaxed cell (GGA-PBE, Alexandria).

Main lines, in order of rising 2θ (2θ = 10–90°):
| Position (°2θ) | I_rel |
| --- | --- |
| 30.66 | 20 |
| 32.84 | 100 |
| 33.10 | 28 |
| 34.95 | 13 |
| 45.74 | 13 |
| 48.47 | 9 |
| 53.04 | 8 |
| 58.96 | 18 |
| 59.96 | 10 |
| 68.85 | 8 |

a = 3.756 Å, b = 5.412 Å, c = 14.699 Å
α = 90.00°, β = 97.33°, γ = 90.00°
Atoms (fractional coordinates):
La: 0.041 0.250 0.082
La: 0.233 0.250 0.468
La: 0.767 0.750 0.532
La: 0.959 0.750 0.918
Er: 0.151 0.750 0.300
Er: 0.849 0.250 0.700
Cd: 0.363 0.750 0.726
Cd: 0.437 0.250 0.876
Cd: 0.563 0.750 0.124
Cd: 0.637 0.250 0.274



Entry 12:
KRbTl4Pt2: computed PXRD pattern (Cu Kα X-rays), based on a DFT-relaxed cell (GGA-PBE, Alexandria).

Main lines, in order of rising 2θ (2θ = 10–90°):
| Position (°2θ) | I_rel |
| --- | --- |
| 15.09 | 100 |
| 22.69 | 40 |
| 28.40 | 24 |
| 30.45 | 29 |
| 34.08 | 45 |
| 37.46 | 45 |
| 41.33 | 17 |
| 46.35 | 43 |
| 51.53 | 18 |
| 58.77 | 30 |

a = 5.262 Å, b = 5.262 Å, c = 11.743 Å
α = 90.00°, β = 90.00°, γ = 90.00°
Atoms (fractional coordinates):
K: 0.000 0.000 0.000
Rb: 0.000 0.000 0.500
Tl: 0.000 0.500 0.243
Tl: 0.000 0.500 0.757
Tl: 0.500 0.000 0.243
Tl: 0.500 0.000 0.757
Pt: 0.500 0.500 0.244
Pt: 0.500 0.500 0.756